1.
Starting from a GGA-PBE-relaxed structure, the PXRD pattern of CePt3 was simulated for Cu Kα (λ = 1.5418 Å).
Intensities are scaled so that the largest is 100.

Structural model:
a b c (Å): 4.1733 4.1733 4.1733
angles (deg): 90.00 90.00 90.00
Space group Pm-3m (No. 221)
Asymmetric unit:
Ce1 0.0000 0.0000 0.0000
Pt1 0.0000 0.5000 0.5000

Most intense lines, 10 to 80 degrees two-theta, by angle:
2θ (°)  I_rel  index
21.3  1.6  1 0 0
30.3  1.4  1 1 0
37.3  100.0  1 1 1
43.4  49.5  2 0 0
48.8  0.8  2 1 0
53.8  0.6  2 1 1
63.0  33.1  2 2 0
75.6  39.2  3 1 1
79.6  11.4  2 2 2


2.
Starting from a GGA-PBE-relaxed structure, the PXRD pattern of CuO was simulated for Cu Kα (λ = 1.5418 Å).
Intensities are scaled so that the largest is 100.

Structural model:
a b c (Å): 3.9412 3.9412 3.9412
angles (deg): 90.00 90.00 90.00
Space group Pm-3m (No. 221)
Asymmetric unit:
Cu1 0.0000 0.0000 0.5000
O1 0.0000 0.5000 0.5000

Most intense lines, 10 to 80 degrees two-theta, by angle:
2θ (°)  I_rel  index
22.6  28.2  1 0 0
32.1  65.5  1 1 0
39.6  83.1  1 1 1
46.1  100.0  2 0 0
51.9  12.7  2 1 0
57.3  21.5  2 1 1
67.2  55.9  2 2 0
71.9  5.9  3 0 0
76.4  8.2  3 1 0


3.
Starting from a GGA-PBE-relaxed structure, the PXRD pattern of Ba4MgCu4O8 was simulated for Cu Kα (λ = 1.5418 Å).
Intensities are scaled so that the largest is 100.

Structural model:
a b c (Å): 5.9595 3.5421 12.5349
angles (deg): 90.00 90.44 90.00
Space group P2/m (No. 10)
Asymmetric unit:
Ba1 0.0058 0.0000 0.1491
Ba2 0.4918 0.0000 0.6278
Mg1 0.5000 0.0000 0.0000
Cu1 0.0035 0.5000 0.3845
Cu2 0.4949 0.5000 0.8442
O1 0.2279 0.5000 0.5004
O2 0.2356 0.5000 0.7395
O3 0.2496 0.5000 0.2607
O4 0.2816 0.5000 0.0013

Most intense lines, 10 to 80 degrees two-theta, by angle:
2θ (°)  I_rel  index
28.5  34.4  0 0 4
30.0  47.9  2 0 0
30.2  100.0  1 1 1
36.4  54.7  1 1 -3
36.6  51.7  1 1 3
41.7  27.2  2 0 -4
42.0  24.4  2 0 4
51.6  18.9  0 2 0
53.3  16.9  3 1 -1
60.0  18.6  1 1 7


4.
Starting from a GGA-PBE-relaxed structure, the PXRD pattern of ICl was simulated for Cu Kα (λ = 1.5418 Å).
Intensities are scaled so that the largest is 100.

Structural model:
a b c (Å): 12.9452 4.8670 13.2984
angles (deg): 90.00 105.17 90.00
Space group P2_1/c (No. 14)
Asymmetric unit:
I1 0.1951 0.1250 0.3149
I2 0.2962 0.5956 0.6553
Cl1 0.0728 0.1755 0.4240
Cl2 0.4465 0.1006 0.1109

Most intense lines, 10 to 80 degrees two-theta, by angle:
2θ (°)  I_rel  index
13.8  27.8  0 0 2
14.2  50.9  2 0 0
20.1  22.8  1 1 -1
21.4  100.0  1 1 1
22.3  71.2  2 0 2
22.9  29.6  0 1 2
25.1  32.3  2 1 -2
34.4  22.4  4 0 -4
38.6  20.2  3 1 3
42.0  20.1  6 0 -2


5.
Starting from a GGA-PBE-relaxed structure, the PXRD pattern of NdIn7Cu5 was simulated for Cu Kα (λ = 1.5418 Å).
Intensities are scaled so that the largest is 100.

Structural model:
a b c (Å): 5.6330 9.4727 9.4516
angles (deg): 90.00 90.00 90.00
Space group Imm2 (No. 44)
Asymmetric unit:
Nd1 0.0000 0.0000 0.0000
In1 0.0000 0.0000 0.3444
In2 0.0000 0.0000 0.6631
In3 0.0000 0.2991 0.4872
In4 0.0000 0.3416 0.0123
In5 0.0000 0.5000 0.7273
Cu1 0.0000 0.5000 0.2726
Cu2 0.2447 0.2424 0.7478

Most intense lines, 10 to 80 degrees two-theta, by angle:
2θ (°)  I_rel  index
31.8  32.5  2 0 0
32.5  65.0  1 3 0
37.2  50.3  2 0 2
37.8  100.0  1 3 2
38.0  46.6  0 0 4
41.9  50.0  2 2 2
42.5  18.7  1 1 4
42.7  19.3  0 4 2
60.6  24.0  3 3 2
68.6  26.4  1 3 6


6.
Starting from a GGA-PBE-relaxed structure, the PXRD pattern of SnO2 was simulated for Cu Kα (λ = 1.5418 Å).
Intensities are scaled so that the largest is 100.

Structural model:
a b c (Å): 10.2391 6.5939 20.9437
angles (deg): 90.00 102.41 90.00
Space group Cm (No. 8)
Asymmetric unit:
Sn1 0.9998 0.0000 0.0001
Sn2 0.0000 0.5000 0.0000
Sn3 0.0933 0.0000 0.7795
Sn4 0.1354 0.2501 0.1294
Sn5 0.1473 0.2501 0.6277
Sn6 0.1918 0.5000 0.4741
Sn7 0.2704 0.0000 0.2592
Sn8 0.2738 0.5000 0.2582
Sn9 0.3615 0.2521 0.8695
Sn10 0.3755 0.0000 0.5383
Sn11 0.4189 0.0000 0.7191
Sn12 0.4230 0.2524 0.3863
O1 0.0409 0.2506 0.9428
O2 0.0825 0.5000 0.6788
O3 0.0922 0.0000 0.1873
O4 0.0939 0.0000 0.6825
O5 0.0941 0.5000 0.1874
O6 0.1083 0.2420 0.4429
O7 0.1776 0.0000 0.0718
O8 0.1784 0.5000 0.0718
O9 0.1793 0.2575 0.8094
O10 0.2005 0.5000 0.5720
O11 0.2093 0.0000 0.5756
O12 0.2370 0.2515 0.3173
O13 0.3137 0.2483 0.2007
O14 0.3230 0.0000 0.9261
O15 0.3230 0.5000 0.9268
O16 0.3309 0.2576 0.6885
O17 0.3576 0.5000 0.4381
O18 0.3652 0.0000 0.4411
O19 0.4244 0.0000 0.8159
O20 0.4333 0.5000 0.8202
O21 0.4538 0.0000 0.3282
O22 0.4562 0.5000 0.3277
O23 0.4569 0.2495 0.0579
O24 0.4646 0.2578 0.5659

Most intense lines, 10 to 80 degrees two-theta, by angle:
2θ (°)  I_rel  index
18.0  85.1  2 0 -2
19.6  30.5  2 0 -3
28.3  19.8  2 0 -6
32.3  100.0  0 2 4
34.9  33.6  2 0 6
39.6  35.8  2 2 -6
53.2  29.7  4 2 -8
55.8  18.2  0 4 0
59.4  22.5  2 2 10
61.2  27.2  6 2 -2


7.
Starting from a GGA-PBE-relaxed structure, the PXRD pattern of SrGd3 was simulated for Cu Kα (λ = 1.5418 Å).
Intensities are scaled so that the largest is 100.

Structural model:
a b c (Å): 5.2397 5.2397 10.5937
angles (deg): 90.00 90.00 90.00
Space group I4/mmm (No. 139)
Asymmetric unit:
Sr1 0.0000 0.0000 0.0000
Gd1 0.0000 0.0000 0.5000
Gd2 0.0000 0.5000 0.2500

Most intense lines, 10 to 80 degrees two-theta, by angle:
2θ (°)  I_rel  index
29.4  100.0  1 1 2
33.8  17.3  0 0 4
34.2  33.6  2 0 0
48.9  24.6  2 0 4
49.2  12.1  2 2 0
57.9  14.9  1 1 6
58.4  28.9  3 1 2
61.0  12.6  2 2 4
79.3  11.9  3 1 6
79.7  5.9  3 3 2


8.
Starting from a GGA-PBE-relaxed structure, the PXRD pattern of ThFe2Ni3 was simulated for Cu Kα (λ = 1.5418 Å).
Intensities are scaled so that the largest is 100.

Structural model:
a b c (Å): 4.9856 4.9856 3.9987
angles (deg): 90.00 90.00 120.00
Space group P6/mmm (No. 191)
Asymmetric unit:
Th1 0.0000 0.0000 0.0000
Fe1 0.3333 0.6667 0.0000
Ni1 0.0000 0.5000 0.5000

Most intense lines, 10 to 80 degrees two-theta, by angle:
2θ (°)  I_rel  index
20.6  17.4  1 0 0
30.5  79.5  1 0 1
36.0  37.3  1 1 0
41.8  41.9  2 0 0
42.7  100.0  1 1 1
45.4  24.3  0 0 2
59.2  17.7  1 1 2
61.4  22.8  2 1 1
63.4  24.2  2 0 2
69.4  22.9  3 0 1


- Number 4 is which compound?
  ICl


Please write out number 4 again, unchanged.
Starting from a GGA-PBE-relaxed structure, the PXRD pattern of ICl was simulated for Cu Kα (λ = 1.5418 Å).
Intensities are scaled so that the largest is 100.

Structural model:
a b c (Å): 12.9452 4.8670 13.2984
angles (deg): 90.00 105.17 90.00
Space group P2_1/c (No. 14)
Asymmetric unit:
I1 0.1951 0.1250 0.3149
I2 0.2962 0.5956 0.6553
Cl1 0.0728 0.1755 0.4240
Cl2 0.4465 0.1006 0.1109

Most intense lines, 10 to 80 degrees two-theta, by angle:
2θ (°)  I_rel  index
13.8  27.8  0 0 2
14.2  50.9  2 0 0
20.1  22.8  1 1 -1
21.4  100.0  1 1 1
22.3  71.2  2 0 2
22.9  29.6  0 1 2
25.1  32.3  2 1 -2
34.4  22.4  4 0 -4
38.6  20.2  3 1 3
42.0  20.1  6 0 -2